Starting from the PBE geometry in Alexandria, the powder X-ray diffraction pattern of LiPm2H6Ir was calculated for Cu Kα X-rays.
Lines closer than 0.1° are merged.

Principal peaks in the range 10° ≤ 2θ ≤ 90°, by angle:
| 2theta | I (rel.) |
| --- | --- |
| 27.2 | 100 |
| 35.5 | 60 |
| 41.8 | 37 |
| 45.3 | 26 |
| 58.8 | 23 |
| 68.1 | 18 |

```
data_LiPm2H6Ir
_space_group_name_H-M_alt 'P -3 m 1'
_space_group_IT_number 164
_space_group_name_Hall '-P 3 2"'
_cell_length_a 5.0576
_cell_length_b 5.0576
_cell_length_c 4.9626
_cell_angle_alpha 90.00
_cell_angle_beta 90.00
_cell_angle_gamma 120.00
loop_
_atom_site_label
_atom_site_fract_x
_atom_site_fract_y
_atom_site_fract_z
Li1 0.0000 0.0000 0.0000
Pm1 0.3333 0.6667 0.2475
H1 0.1606 0.3213 0.7237
Ir1 0.0000 0.0000 0.5000
```



Starting from the PBE geometry in Alexandria, the powder X-ray diffraction pattern of Li2H6IrPt was calculated for Cu Kα X-rays.
Lines closer than 0.1° are merged.

Principal peaks in the range 10° ≤ 2θ ≤ 90°, by angle:
| 2theta | I (rel.) |
| --- | --- |
| 25.4 | 100 |
| 25.7 | 48 |
| 36.2 | 65 |
| 36.5 | 43 |
| 36.7 | 21 |
| 44.8 | 21 |

```
data_Li2H6IrPt
_space_group_name_H-M_alt 'C 1 m 1'
_space_group_IT_number 8
_cell_length_a 6.925
_cell_length_b 7.019
_cell_length_c 4.898
_cell_angle_alpha 90.00
_cell_angle_beta 134.33
_cell_angle_gamma 90.00
loop_
_space_group_symop_operation_xyz
'x,y,z'
'x,-y,z'
'x+1/2,y+1/2,z'
'x+1/2,-y+1/2,z'
loop_
_atom_site_label
_atom_site_fract_x
_atom_site_fract_y
_atom_site_fract_z
Li1 0.000 0.249 0.000
H1 0.001 0.247 0.501
H2 0.246 0.500 0.489
H3 0.250 0.000 0.994
H4 0.252 0.000 0.506
H5 0.252 0.500 0.006
Ir1 0.000 0.000 0.500
Pt1 0.000 0.500 0.500
```